For TlSe, a DFT-relaxed cell (PBE, Alexandria) gives the calculated PXRD pattern in this record (Cu Kα (weighted mean of Kα1 and Kα2)).
No peak broadening, texture or thermal motion is included.

Structure:
a b c (Å): 9.129 9.129 9.129
angles (deg): 90.00 90.00 90.00
Space group I-43m (No. 217)
Unique sites:
Tl (0.153, 0.153, 0.847) (multiplicity 8)
Se (0.171, 0.171, 0.171) (multiplicity 8)

Largest 12 diffraction maxima, in order of falling intensity, 10 to 90 degrees two-theta:
| 2θ (°) | Rel. int. |
| --- | --- |
| 13.72 | 100.0 |
| 30.98 | 91.7 |
| 41.99 | 72.2 |
| 23.88 | 51.0 |
| 19.45 | 41.4 |
| 36.84 | 28.4 |
| 76.71 | 26.3 |
| 51.01 | 24.2 |
| 59.00 | 23.6 |
| 55.10 | 20.0 |
| 39.48 | 18.5 |
| 34.02 | 15.7 |